Record 1
Computed PXRD pattern
Compound: Co2S3
Radiation: Cu Kα, 1.54184 Å
Structure: a cell relaxed with PBE
Intensities are scaled so that the largest is 100.

Structure:
a = 8.1084 Å, b = 5.7162 Å, c = 5.8200 Å
α = 90.00°, β = 90.00°, γ = 90.00°
Space group Pbcn (No. 60)
Unique sites:
Co (0.1071, 0.2482, 0.0319) (multiplicity 8)
S (0.0000, 0.4540, 0.7500) (multiplicity 4)
S (0.1526, 0.1101, 0.3960) (multiplicity 8)

Most intense lines, 2θ = 10–90°, in order of rising 2θ:
hkl, two_theta, I (rel.)
0 0 2, 30.7, 33
2 1 1, 31.1, 100
0 2 0, 31.3, 23
3 1 0, 36.8, 40
0 2 2, 44.4, 45
4 0 0, 44.7, 19
1 1 3, 51.0, 22
2 1 3, 54.9, 32
4 0 2, 55.2, 26
2 3 1, 55.6, 79


Record 2
Computed PXRD pattern
Compound: Co3S4
Radiation: Cu Kα, 1.54184 Å
Structure: a cell relaxed with PBE
Intensities are scaled so that the largest is 100.

Structure:
a = 9.2778 Å, b = 9.2778 Å, c = 9.2778 Å
α = 90.00°, β = 90.00°, γ = 90.00°
Space group Fd-3m (No. 227, origin choice 2)
Unique sites:
Co (0.0000, 0.0000, 0.0000) (multiplicity 16)
Co (0.1250, 0.1250, 0.6250) (multiplicity 8)
S (0.0070, 0.0070, 0.2430) (multiplicity 32)

Most intense lines, 2θ = 10–90°, in order of rising 2θ:
hkl, two_theta, I (rel.)
1 1 1, 16.5, 12
2 2 0, 27.2, 29
3 1 1, 32.0, 100
4 0 0, 38.8, 49
4 2 2, 48.0, 11
5 1 1, 51.2, 42
4 4 0, 56.1, 83
5 3 3, 66.0, 11
5 5 3, 79.3, 16
8 0 0, 83.3, 12


Record 3
Computed PXRD pattern
Compound: CoS
Radiation: Cu Kα, 1.54184 Å
Structure: a cell relaxed with PBE
Intensities are scaled so that the largest is 100.

Structure:
a = 5.1165 Å, b = 3.3400 Å, c = 5.7974 Å
α = 90.00°, β = 90.00°, γ = 90.00°
Space group Pnma (No. 62)
Unique sites:
Co (0.0014, 0.2500, 0.2483) (multiplicity 4)
S (0.2491, 0.2500, 0.5826) (multiplicity 4)

Most intense lines, 2θ = 10–90°, in order of rising 2θ:
hkl, two_theta, I (rel.)
0 1 1, 30.9, 59
2 0 0, 35.1, 6
1 1 1, 35.6, 31
2 0 2, 47.4, 100
0 2 0, 54.9, 45
3 1 1, 63.3, 5
4 0 0, 74.1, 6
2 0 4, 75.4, 7
2 2 2, 75.5, 15
4 1 1, 82.4, 6


Record 4
Computed PXRD pattern
Compound: CoSeS
Radiation: Cu Kα, 1.54184 Å
Structure: a cell relaxed with PBE
Intensities are scaled so that the largest is 100.

Structure:
a = 3.2946 Å, b = 19.7731 Å, c = 5.5298 Å
α = 90.00°, β = 90.00°, γ = 90.00°
Space group Cmm2 (No. 35)
Unique sites:
Co (0.0000, 0.0000, 0.0000) (multiplicity 2)
Co (0.0000, 0.5000, 0.4125) (multiplicity 2)
Se (0.0000, 0.0650, 0.6346) (multiplicity 4)
S (0.0000, 0.4287, 0.1030) (multiplicity 4)

Most intense lines, 2θ = 10–90°, in order of rising 2θ:
hkl, two_theta, I (rel.)
0 4 0, 17.9, 32
1 1 1, 31.9, 100
1 3 1, 34.5, 28
1 5 1, 39.1, 70
0 6 2, 42.7, 42
1 1 2, 42.9, 28
1 7 1, 45.4, 97
0 8 2, 49.5, 41
1 9 1, 52.7, 46
1 1 3, 57.5, 42


Record 5
Computed PXRD pattern
Compound: CoSn10S10
Radiation: Cu Kα, 1.54184 Å
Structure: a cell relaxed with PBE
Intensities are scaled so that the largest is 100.

Structure:
a = 11.2389 Å, b = 11.3539 Å, c = 8.3116 Å
α = 90.00°, β = 90.00°, γ = 90.00°
Space group Pbam (No. 55)
Unique sites:
Co (0.0000, 0.0000, 0.0000) (multiplicity 2)
Sn (0.0000, 0.5000, 0.2378) (multiplicity 4)
Sn (0.1238, 0.0932, 0.2430) (multiplicity 8)
Sn (0.1419, 0.8247, 0.0000) (multiplicity 4)
Sn (0.2336, 0.8184, 0.5000) (multiplicity 4)
S (0.0041, 0.1773, 0.5000) (multiplicity 4)
S (0.1330, 0.5980, 0.0000) (multiplicity 4)
S (0.1801, 0.3162, 0.1959) (multiplicity 8)
S (0.2179, 0.5547, 0.5000) (multiplicity 4)

Most intense lines, 2θ = 10–90°, in order of rising 2θ:
hkl, two_theta, I (rel.)
2 2 0, 22.3, 28
1 3 0, 24.8, 19
0 2 2, 26.6, 41
2 1 2, 27.8, 100
1 4 0, 32.5, 40
3 1 2, 33.1, 27
2 3 2, 35.9, 24
3 3 2, 40.2, 18
0 0 4, 43.6, 29
1 5 2, 46.3, 32


Record 6
Computed PXRD pattern
Compound: SrCo2S3
Radiation: Cu Kα, 1.54184 Å
Structure: a cell relaxed with PBE
Intensities are scaled so that the largest is 100.

Structure:
a = 3.7198 Å, b = 12.9105 Å, c = 8.8069 Å
α = 90.00°, β = 90.00°, γ = 90.00°
Space group Cmcm (No. 63)
Unique sites:
Sr (0.0000, 0.2473, 0.2500) (multiplicity 4)
Co (0.0000, 0.0000, 0.0000) (multiplicity 4)
Co (0.0000, 0.4760, 0.7500) (multiplicity 4)
S (0.0000, 0.0663, 0.7500) (multiplicity 4)
S (0.0000, 0.3739, 0.5480) (multiplicity 8)

Most intense lines, 2θ = 10–90°, in order of rising 2θ:
hkl, two_theta, I (rel.)
0 2 0, 13.7, 30
0 4 0, 27.6, 27
1 3 1, 33.4, 100
0 4 2, 34.5, 29
1 3 2, 37.9, 62
1 1 3, 39.7, 25
0 0 4, 41.0, 39
1 5 2, 47.6, 31
2 0 0, 49.0, 30
1 3 5, 62.2, 22


Record 7
Computed PXRD pattern
Compound: Sr2CoTcS6
Radiation: Cu Kα, 1.54184 Å
Structure: a cell relaxed with PBE
Intensities are scaled so that the largest is 100.

Structure:
a = 11.3642 Å, b = 6.3411 Å, c = 6.8959 Å
α = 90.00°, β = 127.09°, γ = 90.00°
Space group C2/m (No. 12)
Unique sites:
Sr (0.2403, 0.0000, 0.2396) (multiplicity 4)
Co (0.0000, 0.5000, 0.0000) (multiplicity 2)
Tc (0.0000, 0.0000, 0.5000) (multiplicity 2)
S (0.0493, 0.2623, 0.3033) (multiplicity 8)
S (0.2432, 0.5000, 0.1583) (multiplicity 4)

Most intense lines, 2θ = 10–90°, in order of rising 2θ:
hkl, two_theta, I (rel.)
2 0 -2, 25.8, 21
3 1 -1, 27.4, 100
0 2 0, 28.1, 22
2 2 -2, 38.6, 63
4 0 0, 39.8, 23
1 1 -3, 46.5, 18
5 1 -3, 46.6, 16
4 2 0, 49.4, 36
6 2 -2, 56.7, 14
0 4 0, 58.2, 14


Record 8
Computed PXRD pattern
Compound: U8CoS17
Radiation: Cu Kα, 1.54184 Å
Structure: a cell relaxed with PBE
Intensities are scaled so that the largest is 100.

Structure:
a = 13.1093 Å, b = 8.2574 Å, c = 10.2201 Å
α = 90.00°, β = 101.59°, γ = 90.00°
Space group C2/m (No. 12)
Unique sites:
U (0.0604, 0.2415, 0.2036) (multiplicity 8)
U (0.1824, 0.5000, 0.5176) (multiplicity 4)
U (0.2024, 0.0000, 0.9527) (multiplicity 4)
Co (0.0000, 0.0000, 0.5000) (multiplicity 2)
S (0.0000, 0.0000, 0.0000) (multiplicity 2)
S (0.0214, 0.5000, 0.6696) (multiplicity 4)
S (0.0550, 0.0000, 0.7216) (multiplicity 4)
S (0.1265, 0.3075, 0.9646) (multiplicity 8)
S (0.1322, 0.1871, 0.4740) (multiplicity 8)
S (0.2002, 0.5000, 0.2577) (multiplicity 4)
S (0.2138, 0.0000, 0.2208) (multiplicity 4)

Most intense lines, 2θ = 10–90°, in order of rising 2θ:
hkl, two_theta, I (rel.)
2 0 -2, 20.2, 41
2 0 2, 24.6, 58
2 2 0, 25.7, 100
2 2 -1, 26.2, 67
3 1 1, 26.5, 38
0 2 2, 28.0, 92
0 0 4, 35.8, 43
3 3 -1, 39.0, 46
4 2 -3, 41.2, 43
0 4 0, 43.9, 39


Record 9
Computed PXRD pattern
Compound: Co9Sb2
Radiation: Cu Kα, 1.54184 Å
Structure: a cell relaxed with PBE
Intensities are scaled so that the largest is 100.

Structure:
a = 2.7844 Å, b = 2.7844 Å, c = 32.2428 Å
α = 90.00°, β = 90.00°, γ = 120.00°
Space group P-3m1 (No. 164)
Unique sites:
Co (0.0000, 0.0000, 0.0000) (multiplicity 1)
Co (0.0000, 0.0000, 0.1716) (multiplicity 2)
Co (0.3333, 0.6667, 0.1141) (multiplicity 2)
Co (0.3333, 0.6667, 0.7714) (multiplicity 2)
Co (0.3333, 0.6667, 0.9430) (multiplicity 2)
Sb (0.3333, 0.6667, 0.2944) (multiplicity 2)

Most intense lines, 2θ = 10–90°, in order of rising 2θ:
hkl, two_theta, I (rel.)
0 0 4, 11.0, 22
0 0 5, 13.7, 21
1 0 5, 39.9, 45
1 0 6, 41.0, 100
0 0 17, 48.0, 19
0 1 11, 48.9, 44
0 1 12, 50.9, 33
1 1 0, 67.3, 28
1 0 23, 79.0, 13
1 1 17, 86.8, 19